# LaTcN3
Calculated powder diffractogram, λ = 1.5418 Å (Cu Kα). Input: a structure optimized by DFT (GGA-PBE).
Peak positions follow from Bragg's law for the DFT cell and can differ from measured ones.

The 12 most intense peaks (2θ = 10–90°), most intense first:
2θ 32.0, I = 100.0; 2θ 32.1, I = 66.7; 2θ 45.6, I = 36.1; 2θ 31.7, I = 33.0; 2θ 56.6, I = 27.7; 2θ 57.0, I = 26.0; 2θ 67.0, I = 20.6; 2θ 46.3, I = 16.8; 2θ 57.4, I = 13.4; 2θ 57.2, I = 13.2; 2θ 75.7, I = 11.6; 2θ 76.8, I = 10.8

Crystal structure
```
LaTcN3
1.0
4.8154 -2.8257 0.0000
4.8154 2.8257 0.0000
-3.2511 0.0000 4.5611
La Tc N
2 2 6
direct
0.2465 0.7535 0.7500
0.7535 0.2465 0.2500
0.0000 0.5000 0.0000
0.5000 0.0000 0.5000
0.2172 0.2215 0.7172
0.2215 0.2172 0.2172
0.3072 0.6928 0.2500
0.6928 0.3072 0.7500
0.7785 0.7828 0.7828
0.7828 0.7785 0.2828
```